Starting from a DFT-relaxed cell (PBE+U, the Materials Project), the X-ray diffraction stick pattern of VAsO4 was computed for a wavelength of 1.5418 Å.

Cell and atoms:
```
data_VAsO4
_chemical_formula_sum 'V4 As4 O16'
_space_group_name_H-M_alt 'P 1 21/c 1'
_space_group_IT_number 14
_space_group_name_Hall '-P 2ybc'
_cell_length_a 6.5181
_cell_length_b 6.1556
_cell_length_c 7.9777
_cell_angle_alpha 90.00
_cell_angle_beta 114.91
_cell_angle_gamma 90.00
loop_
_atom_site_label
_atom_site_fract_x
_atom_site_fract_y
_atom_site_fract_z
V1 0.1271 0.1194 0.2098
As1 0.2961 0.6106 0.1460
O1 0.1048 0.6687 0.5696
O2 0.1544 0.0413 0.7502
O3 0.2871 0.5220 0.9414
O4 0.4382 0.1786 0.2024
```

Largest 12 diffraction maxima, sorted by position, 2θ from 10° to 90°:
18.9°, I = 35, (0 1 1)
22.8°, I = 57, (1 0 -2)
24.6°, I = 46, (0 0 2)
27.3°, I = 29, (1 1 1)
30.2°, I = 25, (2 0 0)
31.1°, I = 75, (2 1 -1)
31.6°, I = 100, (0 2 1)
32.7°, I = 25, (1 2 -1)
33.3°, I = 52, (2 1 -2)
34.1°, I = 41, (1 0 2)
48.0°, I = 21, (2 2 1)
55.5°, I = 27, (1 2 3)